Computed powder X-ray diffraction pattern of Tb2Ho6S3 for λ = 1.5418 Å (Cu Kα), from a structure optimized by DFT (PBE).
Intensities are scaled so that the largest is 100.

Cell and atoms:
Cell: 24.453 24.453 24.453 Å, 8.72 8.72 8.72°
Sites, in units of the cell vectors:
1 Tb 0.058 0.058 0.058
2 Tb 0.942 0.942 0.942
3 Ho 0.143 0.143 0.143
4 Ho 0.314 0.314 0.314
5 Ho 0.431 0.431 0.431
6 Ho 0.569 0.569 0.569
7 Ho 0.686 0.686 0.686
8 Ho 0.857 0.857 0.857
9 S 0.212 0.212 0.212
10 S 0.500 0.500 0.500
11 S 0.788 0.788 0.788

Main lines, by angle (10° ≤ 2θ ≤ 90°):
2θ/deg, Rel. int.
29.0, 18
29.4, 100
30.3, 18
30.9, 84
32.7, 33
34.1, 47
36.4, 30
44.7, 13
49.0, 56
52.2, 32
58.2, 42
59.0, 13


Computed powder X-ray diffraction pattern of Tb2Ho3S4 for λ = 1.5418 Å (Cu Kα), from a structure optimized by DFT (PBE).
Intensities are scaled so that the largest is 100.

Cell and atoms:
Cell: 3.857 3.857 15.882 Å, 90.00 90.00 120.00°
Sites, in units of the cell vectors:
1 Tb 0.333 0.667 0.206
2 Tb 0.667 0.333 0.794
3 Ho 0.000 0.000 0.000
4 Ho 0.333 0.667 0.590
5 Ho 0.667 0.333 0.410
6 S 0.000 0.000 0.308
7 S 0.000 0.000 0.692
8 S 0.333 0.667 0.899
9 S 0.667 0.333 0.101

Main lines, by angle (10° ≤ 2θ ≤ 90°):
2θ/deg, Rel. int.
27.3, 19
28.1, 25
29.0, 48
31.7, 100
43.6, 21
47.1, 38
48.5, 15
53.7, 15
55.8, 24
57.9, 18
77.8, 15
77.9, 14